Record 1
For LiFeCO4, the GGA+U geometry in the Materials Project gives the calculated XRD peak list in this record (Cu Kα).
Kinematic intensities with the Lorentz-polarization factor, no thermal factor.

The 10 most intense peaks (10° ≤ 2θ ≤ 80°), low angle first:
13.5°, d 6.547, rel. 100, (1 0 0)
18.4°, d 4.829, rel. 36, (0 1 1)
23.3°, d 3.825, rel. 19, (1 0 2)
23.6°, d 3.769, rel. 28, (0 1 2)
26.1°, d 3.419, rel. 97, (1 1 -2)
30.1°, d 2.967, rel. 41, (2 0 -2)
30.5°, d 2.931, rel. 15, (0 1 3)
34.4°, d 2.607, rel. 20, (2 1 -2)
35.0°, d 2.564, rel. 39, (1 1 3)
53.5°, d 1.711, rel. 20, (3 1 -4)

Crystal structure
```
data_LiFeCO4
_space_group_name_H-M_alt 'P 1 21/c 1'
_space_group_IT_number 14
_space_group_name_Hall '-P 2ybc'
_cell_length_a 6.612
_cell_length_b 5.448
_cell_length_c 10.537
_cell_angle_alpha 90.00
_cell_angle_beta 98.09
_cell_angle_gamma 90.00
loop_
_atom_site_label
_atom_site_type_symbol
_atom_site_fract_x
_atom_site_fract_y
_atom_site_fract_z
_atom_site_occupancy
Li1 Li 0.116 0.150 0.293 1
Fe1 Fe 0.487 0.640 0.654 1
C1 C 0.203 0.690 0.425 1
O1 O 0.080 0.703 0.841 1
O2 O 0.258 0.043 0.911 1
O3 O 0.282 0.698 0.030 1
O4 O 0.386 0.125 0.234 1
```

***

Record 2
For LiFeC2O6, the GGA+U geometry in the Materials Project gives the calculated XRD peak list in this record (Cu Kα).
Kinematic intensities with the Lorentz-polarization factor, no thermal factor.

The 10 most intense peaks (10° ≤ 2θ ≤ 80°), low angle first:
17.4°, d 5.099, rel. 59, (0 0 3)
22.6°, d 3.933, rel. 68, (1 0 1)
32.1°, d 2.787, rel. 100, (1 0 4)
36.8°, d 2.445, rel. 10, (0 1 5)
42.4°, d 2.134, rel. 59, (2 -1 3)
46.2°, d 1.966, rel. 15, (2 0 2)
53.0°, d 1.729, rel. 45, (0 1 8)
60.5°, d 1.530, rel. 12, (2 1 1)
68.1°, d 1.377, rel. 11, (1 1 9)
69.3°, d 1.357, rel. 13, (3 0 0)

Crystal structure
```
data_LiFeC2O6
_space_group_name_H-M_alt 'R -3'
_space_group_IT_number 148
_space_group_name_Hall '-R 3'
_cell_length_a 4.6991
_cell_length_b 4.6991
_cell_length_c 15.2962
_cell_angle_alpha 90.00
_cell_angle_beta 90.00
_cell_angle_gamma 120.00
loop_
_atom_site_label
_atom_site_type_symbol
_atom_site_fract_x
_atom_site_fract_y
_atom_site_fract_z
_atom_site_occupancy
Li1 Li 0.0000 0.0000 0.0000 1
Fe1 Fe 0.0000 0.0000 0.5000 1
C1 C 0.0000 0.0000 0.2442 1
O1 O 0.0179 0.2844 0.2449 1
```

***

Record 3
For LiFe2C2O7, the GGA+U geometry in the Materials Project gives the calculated XRD peak list in this record (Cu Kα).
Kinematic intensities with the Lorentz-polarization factor, no thermal factor.

The 10 most intense peaks (10° ≤ 2θ ≤ 80°), low angle first:
11.2°, d 7.915, rel. 31, (0 0 2)
21.0°, d 4.238, rel. 32, (0 1 0)
21.2°, d 4.197, rel. 63, (1 0 0)
21.7°, d 4.094, rel. 37, (0 1 1)
21.9°, d 4.057, rel. 73, (1 1 -1)
22.5°, d 3.957, rel. 100, (0 0 4)
31.0°, d 2.883, rel. 28, (1 1 4)
35.5°, d 2.530, rel. 41, (0 1 -5)
36.9°, d 2.439, rel. 30, (1 -1 0)
43.5°, d 2.081, rel. 31, (1 2 4)

Crystal structure
```
data_LiFe2C2O7
_space_group_name_H-M_alt 'P 1'
_space_group_IT_number 1
_space_group_name_Hall 'P 1'
_cell_length_a 4.831
_cell_length_b 4.873
_cell_length_c 15.829
_cell_angle_alpha 89.73
_cell_angle_beta 89.87
_cell_angle_gamma 60.42
loop_
_atom_site_label
_atom_site_type_symbol
_atom_site_fract_x
_atom_site_fract_y
_atom_site_fract_z
_atom_site_occupancy
Li1 Li 0.000 0.000 0.000 1
Li2 Li 0.001 0.998 0.500 1
Fe1 Fe 0.328 0.332 0.129 1
Fe2 Fe 0.341 0.331 0.361 1
Fe3 Fe 0.658 0.669 0.630 1
Fe4 Fe 0.671 0.667 0.862 1
C1 C 0.333 0.331 0.910 1
C2 C 0.334 0.331 0.580 1
C3 C 0.667 0.667 0.410 1
C4 C 0.668 0.666 0.080 1
O1 O 0.074 0.313 0.911 1
O2 O 0.082 0.607 0.580 1
O3 O 0.306 0.080 0.580 1
O4 O 0.317 0.604 0.910 1
O5 O 0.338 0.340 0.250 1
O6 O 0.388 0.917 0.080 1
O7 O 0.391 0.682 0.411 1
O8 O 0.608 0.075 0.910 1
O9 O 0.615 0.304 0.579 1
O10 O 0.662 0.657 0.751 1
O11 O 0.684 0.924 0.410 1
O12 O 0.694 0.390 0.079 1
O13 O 0.921 0.697 0.079 1
O14 O 0.925 0.395 0.409 1
```

***

Record 4
For LiFe2C3O9, the GGA+U geometry in the Materials Project gives the calculated XRD peak list in this record (Cu Kα).
Kinematic intensities with the Lorentz-polarization factor, no thermal factor.

The 10 most intense peaks (10° ≤ 2θ ≤ 80°), low angle first:
15.4°, d 5.771, rel. 38, (0 0 1)
15.9°, d 5.573, rel. 54, (1 0 0)
18.3°, d 4.846, rel. 64, (1 0 -1)
23.6°, d 3.772, rel. 100, (0 1 1)
24.0°, d 3.715, rel. 94, (1 1 0)
25.6°, d 3.474, rel. 37, (1 1 -1)
36.0°, d 2.498, rel. 74, (0 1 2)
36.0°, d 2.492, rel. 39, (0 2 0)
37.0°, d 2.432, rel. 47, (2 1 0)
52.7°, d 1.737, rel. 29, (2 2 -2)

Crystal structure
```
data_LiFe2C3O9
_space_group_name_H-M_alt 'P 1 m 1'
_space_group_IT_number 6
_space_group_name_Hall 'P -2y'
_cell_length_a 5.874
_cell_length_b 4.984
_cell_length_c 6.083
_cell_angle_alpha 90.00
_cell_angle_beta 108.42
_cell_angle_gamma 90.00
loop_
_atom_site_label
_atom_site_type_symbol
_atom_site_fract_x
_atom_site_fract_y
_atom_site_fract_z
_atom_site_occupancy
Li1 Li 0.000 0.000 0.000 1
Fe1 Fe 0.183 0.000 0.587 1
Fe2 Fe 0.852 0.500 0.279 1
C1 C 0.314 0.500 0.326 1
C2 C 0.532 0.000 0.947 1
C3 C 0.924 0.500 0.740 1
O1 O 0.195 0.278 0.337 1
O2 O 0.311 0.000 0.953 1
O3 O 0.511 0.500 0.289 1
O4 O 0.539 0.000 0.733 1
O5 O 0.720 0.000 0.121 1
O6 O 0.885 0.500 0.934 1
O7 O 0.938 0.277 0.631 1
```

***

Record 5
For LiFeC2O6, the GGA+U geometry in the Materials Project gives the calculated XRD peak list in this record (Cu Kα).
Kinematic intensities with the Lorentz-polarization factor, no thermal factor.

The 10 most intense peaks (10° ≤ 2θ ≤ 80°), low angle first:
18.8°, d 4.715, rel. 91, (0 1 1)
19.0°, d 4.673, rel. 100, (1 0 -1)
21.7°, d 4.088, rel. 64, (1 1 0)
22.2°, d 4.006, rel. 30, (1 1 -1)
30.2°, d 2.962, rel. 18, (0 0 2)
32.3°, d 2.770, rel. 47, (0 1 2)
36.6°, d 2.452, rel. 21, (2 1 -1)
39.5°, d 2.282, rel. 16, (1 3 0)
47.5°, d 1.915, rel. 14, (0 1 3)
50.9°, d 1.795, rel. 14, (1 4 -1)

Crystal structure
```
data_LiFeC2O6
_space_group_name_H-M_alt 'P 1 21 1'
_space_group_IT_number 4
_space_group_name_Hall 'P 2yb'
_cell_length_a 5.172
_cell_length_b 7.779
_cell_length_c 6.381
_cell_angle_alpha 90.00
_cell_angle_beta 111.71
_cell_angle_gamma 90.00
loop_
_atom_site_label
_atom_site_type_symbol
_atom_site_fract_x
_atom_site_fract_y
_atom_site_fract_z
_atom_site_occupancy
Li1 Li 0.052 0.000 0.434 1
Fe1 Fe 0.257 0.562 0.228 1
C1 C 0.012 0.797 0.866 1
C2 C 0.471 0.325 0.613 1
O1 O 0.123 0.931 0.811 1
O2 O 0.136 0.649 0.912 1
O3 O 0.238 0.317 0.131 1
O4 O 0.262 0.816 0.346 1
O5 O 0.333 0.466 0.554 1
O6 O 0.356 0.182 0.640 1
```

***

Record 6
For Li2Fe2C3O9, the GGA+U geometry in the Materials Project gives the calculated XRD peak list in this record (Cu Kα).
Kinematic intensities with the Lorentz-polarization factor, no thermal factor.

The 10 most intense peaks (10° ≤ 2θ ≤ 80°), low angle first:
15.3°, d 5.783, rel. 95, (1 0 0)
18.2°, d 4.869, rel. 54, (1 1 1)
22.5°, d 3.952, rel. 100, (1 1 -1)
24.4°, d 3.643, rel. 93, (0 2 0)
25.5°, d 3.493, rel. 49, (1 2 0)
34.5°, d 2.599, rel. 85, (0 1 3)
35.8°, d 2.505, rel. 48, (0 2 -2)
46.5°, d 1.953, rel. 24, (1 0 4)
47.2°, d 1.928, rel. 39, (3 0 0)
52.4°, d 1.747, rel. 24, (2 0 4)

Crystal structure
```
data_Li2Fe2C3O9
_space_group_name_H-M_alt 'P 1'
_space_group_IT_number 1
_space_group_name_Hall 'P 1'
_cell_length_a 6.066
_cell_length_b 7.641
_cell_length_c 8.114
_cell_angle_alpha 79.48
_cell_angle_beta 79.69
_cell_angle_gamma 74.35
loop_
_atom_site_label
_atom_site_type_symbol
_atom_site_fract_x
_atom_site_fract_y
_atom_site_fract_z
_atom_site_occupancy
Li1 Li 0.000 0.000 0.000 1
Li2 Li 0.000 0.494 0.505 1
Li3 Li 0.599 0.299 0.305 1
Li4 Li 0.599 0.795 0.802 1
Fe1 Fe 0.466 0.101 0.032 1
Fe2 Fe 0.469 0.603 0.527 1
Fe3 Fe 0.794 0.147 0.655 1
Fe4 Fe 0.799 0.650 0.152 1
C1 C 0.119 0.772 0.705 1
C2 C 0.120 0.278 0.204 1
C3 C 0.341 0.207 0.645 1
C4 C 0.345 0.710 0.145 1
C5 C 0.746 0.409 0.847 1
C6 C 0.746 0.912 0.345 1
O1 O 0.103 0.664 0.605 1
O2 O 0.104 0.169 0.105 1
O3 O 0.138 0.215 0.620 1
O4 O 0.141 0.717 0.122 1
O5 O 0.327 0.772 0.722 1
O6 O 0.329 0.279 0.218 1
O7 O 0.448 0.092 0.764 1
O8 O 0.453 0.597 0.264 1
O9 O 0.463 0.315 0.548 1
O10 O 0.466 0.816 0.045 1
O11 O 0.736 0.451 0.683 1
O12 O 0.736 0.743 0.409 1
O13 O 0.742 0.238 0.910 1
O14 O 0.742 0.952 0.180 1
O15 O 0.762 0.527 0.933 1
O16 O 0.763 0.031 0.429 1
O17 O 0.937 0.876 0.783 1
O18 O 0.939 0.381 0.283 1
```

***

Record 7
For Li2Fe2C3O9, the GGA+U geometry in the Materials Project gives the calculated XRD peak list in this record (Cu Kα).
Kinematic intensities with the Lorentz-polarization factor, no thermal factor.

The 10 most intense peaks (10° ≤ 2θ ≤ 80°), low angle first:
17.8°, d 4.976, rel. 100, (0 2 0)
18.1°, d 4.910, rel. 79, (1 0 0)
23.8°, d 3.742, rel. 38, (1 1 1)
25.1°, d 3.549, rel. 58, (0 0 2)
30.9°, d 2.890, rel. 54, (0 2 2)
36.1°, d 2.490, rel. 30, (1 2 2)
36.6°, d 2.455, rel. 31, (2 0 0)
44.9°, d 2.019, rel. 26, (2 0 2)
48.4°, d 1.882, rel. 25, (1 4 2)
48.7°, d 1.871, rel. 29, (2 2 2)

Crystal structure
```
data_Li2Fe2C3O9
_space_group_name_H-M_alt 'A m m 2'
_space_group_IT_number 38
_space_group_name_Hall 'A 2 -2'
_cell_length_a 4.910
_cell_length_b 9.953
_cell_length_c 7.099
_cell_angle_alpha 90.00
_cell_angle_beta 90.00
_cell_angle_gamma 90.00
loop_
_atom_site_label
_atom_site_type_symbol
_atom_site_fract_x
_atom_site_fract_y
_atom_site_fract_z
_atom_site_occupancy
Li1 Li 0.000 0.000 0.000 1
Li2 Li 0.500 0.000 0.275 1
Fe1 Fe 0.000 0.219 0.426 1
C1 C 0.000 0.000 0.628 1
C2 C 0.500 0.202 0.030 1
O1 O 0.000 0.000 0.440 1
O2 O 0.000 0.114 0.712 1
O3 O 0.271 0.145 0.075 1
O4 O 0.500 0.186 0.440 1
```